Calculated PXRD pattern
Compound: V2BiO6F2
Radiation: copper Kα
Structure: the GGA+U geometry in Alexandria

Top 10 peaks for 10 to 80 degrees two-theta, in order of rising 2θ:
11.99 deg, intensity 436
18.29 deg, intensity 202
21.92 deg, intensity 1000
30.43 deg, intensity 383
31.95 deg, intensity 279
39.09 deg, intensity 181
41.13 deg, intensity 172
44.70 deg, intensity 151
51.34 deg, intensity 196
56.00 deg, intensity 137

Structure:
Lattice parameters (Å, degrees): 5.6019 5.6019 7.3820 90.00 90.00 120.00
Space group P-3 (No. 147)
Unique sites:
V 0.3333 0.6667 0.2452
Bi 0.0000 0.0000 0.5000
O 0.0710 0.7124 0.3255
F 0.3333 0.6667 0.0046